# LiTa2CuO6
Simulated powder diffractogram, Cu Kα, 1.54184 Å. Input: a cell relaxed with GGA-PBE.
No peak broadening, texture or thermal motion is included.

```
data_LiTa2CuO6
_cell_length_a 5.2461
_cell_length_b 5.2461
_cell_length_c 14.0548
_cell_angle_alpha 90.00
_cell_angle_beta 90.00
_cell_angle_gamma 120.00
_symmetry_space_group_name_H-M 'R 3 2'
_symmetry_Int_Tables_number 155
_symmetry_space_group_name_Hall 'R 3 2"'
loop_
_atom_site_label
_atom_site_fract_x
_atom_site_fract_y
_atom_site_fract_z
_atom_site_occupancy
Li1 0.0000 0.0000 0.0000 1
Ta1 0.0000 0.0000 0.2514 1
Cu1 0.0000 0.0000 0.5000 1
O1 0.0000 0.3871 0.5000 1
O2 0.0000 0.6195 0.0000 1
```

Main lines, in order of falling intensity (2θ from 5° to 70°):
two_theta  Rel. int.
23.31  100
32.21  85
34.18  63
47.67  37
59.96  31
52.37  27
61.20  19
55.05  18
56.13  18
41.79  15
67.38  13
20.55  7

---

# BaGePbO4
Simulated powder diffractogram, Cu Kα, 1.54184 Å. Input: a cell relaxed with GGA-PBE.
No peak broadening, texture or thermal motion is included.

```
data_BaGePbO4
_cell_length_a 6.2930
_cell_length_b 7.7483
_cell_length_c 10.3671
_cell_angle_alpha 90.00
_cell_angle_beta 90.00
_cell_angle_gamma 90.00
_symmetry_space_group_name_H-M 'P 21 21 21'
_symmetry_Int_Tables_number 19
_symmetry_space_group_name_Hall 'P 2ac 2ab'
loop_
_atom_site_label
_atom_site_fract_x
_atom_site_fract_y
_atom_site_fract_z
_atom_site_occupancy
Ba1 0.0212 0.2489 0.2886 1
Ge1 0.0184 0.5401 0.9101 1
Pb1 0.0681 0.0505 0.9077 1
O1 0.0617 0.9452 0.4399 1
O2 0.0822 0.7612 0.9454 1
O3 0.2020 0.0142 0.6983 1
O4 0.2445 0.4524 0.8348 1
```

Main lines, in order of falling intensity (2θ from 5° to 70°):
two_theta  Rel. int.
28.39  100
29.49  94
28.36  49
40.84  30
28.77  28
22.22  18
20.09  18
25.05  18
27.03  18
20.62  17
41.94  16
54.29  16

---

# Li4H3BrO3
Simulated powder diffractogram, Cu Kα, 1.54184 Å. Input: a cell relaxed with GGA-PBE.
No peak broadening, texture or thermal motion is included.

```
data_Li4H3BrO3
_cell_length_a 5.5407
_cell_length_b 7.7306
_cell_length_c 6.6247
_cell_angle_alpha 90.00
_cell_angle_beta 94.02
_cell_angle_gamma 90.00
_symmetry_space_group_name_H-M 'P 1 21/m 1'
_symmetry_Int_Tables_number 11
_symmetry_space_group_name_Hall '-P 2yb'
loop_
_atom_site_label
_atom_site_fract_x
_atom_site_fract_y
_atom_site_fract_z
_atom_site_occupancy
Li1 0.0776 0.2500 0.4191 1
Li2 0.3508 0.5216 0.6322 1
Li3 0.4019 0.2500 0.1932 1
H1 0.1754 0.7500 0.8590 1
H2 0.2011 0.5285 0.2765 1
Br1 0.1724 0.2500 0.8316 1
O1 0.2466 0.7500 0.7272 1
O2 0.2933 0.0580 0.3546 1
```

Main lines, in order of falling intensity (2θ from 5° to 70°):
two_theta  Rel. int.
19.75  100
23.29  64
31.82  62
29.40  60
30.81  53
21.67  50
23.01  38
26.72  35
30.53  33
17.66  30
41.69  29
47.52  27